The following is a calculated powder diffractogram of Ba3YAl2O8. It was derived from a structure optimized by DFT (PBE), using a wavelength of 1.5418 Å.

Structural model:
```
14
Lattice="5.9493 0.0000 0.0000 -2.9747 5.1523 0.0000 0.0000 0.0000 7.5904" Properties=species:S:1:pos:R:3 pbc="T T T"
Ba 0.0000 0.0000 0.0000
Ba 0.0000 3.4348 5.0610
Ba 2.9747 1.7174 2.5293
Y 0.0000 0.0000 3.7952
Al 0.0000 3.4348 1.7396
Al 2.9747 1.7174 5.8508
O 0.0000 1.7864 2.4099
O -1.4276 4.2591 2.4099
O 0.0000 3.4348 7.5771
O 1.5471 0.8932 5.1805
O 1.4276 4.2591 2.4099
O 2.9747 1.7174 0.0133
O 4.4023 0.8932 5.1805
O 2.9747 3.3659 5.1805
```

Main lines, low angle first (2θ from 10° to 80°):
| 2θ (°) | Rel. int. | index |
| --- | --- | --- |
| 20.84 | 33.4 | 1 0 1 |
| 29.23 | 86.3 | 0 1 2 |
| 30.04 | 100.0 | 1 1 0 |
| 36.84 | 25.1 | 0 2 1 |
| 42.41 | 47.6 | 2 0 2 |
| 47.16 | 15.7 | 1 1 3 |
| 51.31 | 14.9 | 1 0 4 |
| 52.84 | 32.6 | 1 2 2 |
| 53.34 | 19.3 | 3 0 0 |
| 62.44 | 17.1 | 2 2 0 |